For LiV6O11F, a cell relaxed with PBE+U gives the simulated powder XRD pattern in this record (Cu Kα (λ = 1.5418 Å)).
Lines closer than 0.1° are merged.

Structural model:
abc: 4.670 4.683 9.075
angles: 90.01 90.48 91.79
Space group P1 (No. 1)
One atom of each set of equivalent atoms:
Li (0.000, 0.000, 0.000) [1 per cell]
V (0.038, 0.498, 0.085) [1 per cell]
V (0.486, 0.048, 0.888) [1 per cell]
V (0.498, 0.034, 0.256) [1 per cell]
V (0.509, 0.016, 0.576) [1 per cell]
V (0.985, 0.544, 0.744) [1 per cell]
V (0.989, 0.533, 0.416) [1 per cell]
O (0.199, 0.709, 0.581) [1 per cell]
O (0.209, 0.723, 0.909) [1 per cell]
O (0.214, 0.716, 0.247) [1 per cell]
O (0.306, 0.231, 0.750) [1 per cell]
O (0.312, 0.214, 0.411) [1 per cell]
O (0.321, 0.197, 0.075) [1 per cell]
O (0.706, 0.815, 0.752) [1 per cell]
O (0.711, 0.804, 0.411) [1 per cell]
O (0.810, 0.293, 0.247) [1 per cell]
O (0.820, 0.320, 0.581) [1 per cell]
O (0.821, 0.308, 0.915) [1 per cell]
F (0.705, 0.803, 0.078) [1 per cell]

Main lines, sorted by position (10 to 80 degrees two-theta):
| d/Å | 2theta | intensity |
| --- | --- | --- |
| 3.358 | 26.5 | 1000 |
| 3.255 | 27.4 | 1000 |
| 2.548 | 35.2 | 257 |
| 2.541 | 35.3 | 536 |
| 2.529 | 35.5 | 238 |
| 1.739 | 52.6 | 306 |
| 1.710 | 53.6 | 293 |
| 1.627 | 56.6 | 198 |